Starting from a crystal structure in the Materials Project, relaxed with PBE+U, the X-ray diffraction stick pattern of Ba2SrMgWO6 was computed for CuKα.
Lines closer than 0.1° are merged.

Atomic structure:
Unit cell a=6.0653 b=6.0653 c=7.1099 alpha=120.48 beta=120.48 gamma=59.41
Fractional coordinates of all 11 atoms:
Ba 0.0000 0.0000 0.0000
Ba 0.5434 0.5434 0.6720
Sr 0.3705 0.3705 0.0457
Mg 0.1411 0.1411 0.5193
W 0.8323 0.8323 0.4217
O 0.0413 0.5538 0.6154
O 0.0828 0.0828 0.7380
O 0.1495 0.7168 0.3091
O 0.5538 0.0413 0.6154
O 0.6203 0.6203 0.1176
O 0.7168 0.1495 0.3091

Peak list (6 most intense, 10 to 80 degrees two-theta, sorted by position)
2theta	I (rel.)
25.21	32
27.49	48
29.59	100
29.72	55
30.19	59
39.36	37